Diffraction record for TiNiO3. The powder diffraction line list is simulated, not measured: it uses a crystal structure in the Materials Project, relaxed with PBE+U and Cu Kα (weighted mean of Kα1 and Kα2).
Lines closer than 0.1° are merged.

Principal peaks in the range 2θ from 10° to 90°, by angle:
2theta	d (Å)	intensity	h k l
23.9	3.722	34.6	0 1 2
32.7	2.738	100.0	1 0 4
35.4	2.538	71.3	1 1 0
40.5	2.229	19.7	1 1 3
48.9	1.861	36.7	0 2 4
53.3	1.717	54.1	1 1 6
61.8	1.501	31.3	2 1 4
63.5	1.465	32.0	3 0 0

Cell and atoms:
Cell lengths 5.0752, 5.0752, 13.9964 Å; angles 90.00, 90.00, 120.00 degrees
Space group R3c (No. 161, hexagonal axes)
Inequivalent atoms, fractional coordinates:
1 Ti 0.0000 0.0000 0.0000 (multiplicity 6)
2 Ni 0.0000 0.0000 0.2921 (multiplicity 6)
3 O 0.0360 0.3450 0.0596 (multiplicity 18)